Simulated powder XRD pattern of DyGePt for copper Kα, from the PBE geometry in the Materials Project.

Principal peaks in the range 2θ from 5° to 70°, by angle:
d [Å]	two_theta	I (rel.)	h k l
3.341	26.68	28	1 1 1
2.665	33.63	40	1 1 2
2.589	34.65	40	2 0 2
2.580	34.77	100	2 1 1
2.242	40.23	25	3 0 1
2.203	40.96	62	0 1 3
2.187	41.28	41	0 2 0
1.671	54.96	22	2 2 2
1.565	59.01	16	3 2 1
1.404	66.63	25	3 1 4

Atomic structure:
```
data_DyGePt
_chemical_formula_sum 'Dy4 Ge4 Pt4'
_symmetry_space_group_name_H-M 'P n m a'
_symmetry_Int_Tables_number 62
_cell_length_a 7.034
_cell_length_b 4.374
_cell_length_c 7.652
_cell_angle_alpha 90.00
_cell_angle_beta 90.00
_cell_angle_gamma 90.00
loop_
_symmetry_equiv_pos_as_xyz
'x,y,z'
'-x,-y,-z'
'-x+1/2,-y,z+1/2'
'x+1/2,y,-z+1/2'
'x+1/2,-y+1/2,-z+1/2'
'-x+1/2,y+1/2,z+1/2'
'-x,y+1/2,-z'
'x,-y+1/2,z'
loop_
_atom_site_label
_atom_site_fract_x
_atom_site_fract_y
_atom_site_fract_z
Dy1 0.002 0.250 0.203
Ge1 0.189 0.250 0.588
Pt1 0.205 0.750 0.415
```

=====

Simulated powder XRD pattern of LiHo3Ge2O8F2 for copper Kα, from the PBE geometry in the Materials Project.

Principal peaks in the range 2θ from 5° to 70°, by angle:
d [Å]	two_theta	I (rel.)	h k l
6.727	13.16	21	2 0 0
3.835	23.19	100	3 1 -1
3.098	28.81	45	3 1 -3
2.929	30.52	43	2 0 2
2.824	31.68	78	1 1 -3
2.726	32.86	31	5 1 -1
2.669	33.58	25	6 0 -4
2.555	35.12	25	0 2 0
1.925	47.21	27	2 2 2
1.808	50.48	25	9 1 -3

Atomic structure:
```
data_LiHo3Ge2O8F2
_chemical_formula_sum 'Li4 Ho12 Ge8 O32 F8'
_symmetry_space_group_name_H-M 'C 1 2/c 1'
_symmetry_Int_Tables_number 15
_cell_length_a 17.720
_cell_length_b 5.111
_cell_length_c 11.689
_cell_angle_alpha 90.00
_cell_angle_beta 130.60
_cell_angle_gamma 90.00
loop_
_symmetry_equiv_pos_as_xyz
'x,y,z'
'-x,-y,-z'
'-x,y,-z+1/2'
'x,-y,z+1/2'
'x+1/2,y+1/2,z'
'-x+1/2,-y+1/2,-z'
'-x+1/2,y+1/2,-z+1/2'
'x+1/2,-y+1/2,z+1/2'
loop_
_atom_site_label
_atom_site_fract_x
_atom_site_fract_y
_atom_site_fract_z
Li1 0.250 0.250 0.000
Ho1 0.000 0.210 0.750
Ho2 0.122 0.206 0.151
Ge1 0.145 0.236 0.489
O1 0.033 0.074 0.428
O2 0.132 0.421 0.976
O3 0.155 0.069 0.366
O4 0.228 0.096 0.671
F1 0.071 0.411 0.671
```

=====

Simulated powder XRD pattern of Dy2ZnIn for copper Kα, from the PBE geometry in the Materials Project.

Principal peaks in the range 2θ from 5° to 70°, by angle:
d [Å]	two_theta	I (rel.)	h k l
4.246	20.92	2	1 1 1
3.677	24.20	8	2 0 0
2.600	34.49	100	2 2 0
2.218	40.69	1	3 1 1
2.123	42.58	3	2 2 2
1.839	49.58	18	4 0 0
1.645	55.91	4	4 2 0
1.501	61.79	36	4 2 2

Atomic structure:
```
data_Dy2ZnIn
_chemical_formula_sum 'Dy8 Zn4 In4'
_symmetry_space_group_name_H-M 'F m -3 m'
_symmetry_Int_Tables_number 225
_symmetry_space_group_name_Hall '-F 4 2 3'
_cell_length_a 7.355
_cell_length_b 7.355
_cell_length_c 7.355
_cell_angle_alpha 90.00
_cell_angle_beta 90.00
_cell_angle_gamma 90.00
loop_
_atom_site_label
_atom_site_fract_x
_atom_site_fract_y
_atom_site_fract_z
Dy1 0.250 0.250 0.250
Zn1 0.000 0.000 0.000
In1 0.000 0.000 0.500
```

=====

Simulated powder XRD pattern of BaMg6Fe for copper Kα, from the PBE geometry in the Materials Project.

Principal peaks in the range 2θ from 5° to 70°, by angle:
d [Å]	two_theta	I (rel.)	h k l
7.127	12.42	50	0 0 2
5.605	15.81	40	0 1 1
4.941	17.95	40	1 0 0
3.748	23.74	41	0 1 3
3.706	24.01	42	1 1 1
2.986	29.93	100	1 1 3
2.890	30.94	43	1 0 4
2.582	34.74	43	0 1 5
2.471	36.37	42	2 0 0
2.438	36.87	83	1 2 2

Atomic structure:
```
data_BaMg6Fe
_chemical_formula_sum 'Ba2 Mg12 Fe2'
_symmetry_space_group_name_H-M 'A m m 2'
_symmetry_Int_Tables_number 38
_cell_length_a 4.941
_cell_length_b 6.096
_cell_length_c 14.255
_cell_angle_alpha 90.00
_cell_angle_beta 90.00
_cell_angle_gamma 90.00
loop_
_symmetry_equiv_pos_as_xyz
'x,y,z'
'-x,-y,z'
'-x,y,z'
'x,-y,z'
'x,y+1/2,z+1/2'
'-x,-y+1/2,z+1/2'
'-x,y+1/2,z+1/2'
'x,-y+1/2,z+1/2'
loop_
_atom_site_label
_atom_site_fract_x
_atom_site_fract_y
_atom_site_fract_z
Ba1 0.000 0.000 0.000
Mg1 0.000 0.238 0.736
Mg2 0.500 0.000 0.175
Mg3 0.500 0.000 0.577
Mg4 0.500 0.238 0.368
Fe1 0.000 0.000 0.390
```

=====

Simulated powder XRD pattern of MgTi2 for copper Kα, from the PBE geometry in the Materials Project.

Principal peaks in the range 2θ from 5° to 70°, by angle:
d [Å]	two_theta	I (rel.)	h k l
4.955	17.90	18	2 0 -1
2.599	34.51	27	2 0 2
2.521	35.61	50	1 1 1
2.477	36.26	84	4 0 -2
2.315	38.91	53	4 0 1
2.289	39.36	51	0 0 3
2.253	40.02	100	3 1 0
2.241	40.24	94	1 1 -2
1.485	62.54	30	3 1 3
1.386	67.61	26	7 1 -2

Atomic structure:
```
data_MgTi2
_chemical_formula_sum 'Mg4 Ti8'
_symmetry_space_group_name_H-M 'C 1 m 1'
_symmetry_Int_Tables_number 8
_cell_length_a 11.254
_cell_length_b 2.883
_cell_length_c 7.133
_cell_angle_alpha 90.00
_cell_angle_beta 105.71
_cell_angle_gamma 90.00
loop_
_symmetry_equiv_pos_as_xyz
'x,y,z'
'x,-y,z'
'x+1/2,y+1/2,z'
'x+1/2,-y+1/2,z'
loop_
_atom_site_label
_atom_site_fract_x
_atom_site_fract_y
_atom_site_fract_z
Mg1 0.000 0.000 0.000
Mg2 0.166 0.500 0.335
Ti1 0.112 0.500 0.719
Ti2 0.279 0.000 0.042
Ti3 0.328 0.000 0.663
Ti4 0.435 0.500 0.400
```

=====

Simulated powder XRD pattern of Li8NbS6 for copper Kα, from the PBE geometry in the Materials Project.

Principal peaks in the range 2θ from 5° to 70°, by angle:
d [Å]	two_theta	I (rel.)	h k l
6.743	13.13	23	0 0 2
6.031	14.69	72	1 0 0
4.495	19.75	100	1 0 2
3.482	25.58	46	1 1 0
3.371	26.44	81	0 0 4
2.753	32.53	34	2 0 2
2.159	41.83	25	2 1 2
2.010	45.10	48	3 0 0
1.888	48.19	30	1 1 6
1.727	53.04	34	3 0 4

Atomic structure:
```
data_Li8NbS6
_chemical_formula_sum 'Li16 Nb2 S12'
_symmetry_space_group_name_H-M 'P 63 c m'
_symmetry_Int_Tables_number 185
_symmetry_space_group_name_Hall 'P 6c -2'
_cell_length_a 6.9636
_cell_length_b 6.9636
_cell_length_c 13.4865
_cell_angle_alpha 90.00
_cell_angle_beta 90.00
_cell_angle_gamma 120.00
loop_
_atom_site_label
_atom_site_fract_x
_atom_site_fract_y
_atom_site_fract_z
Li1 0.0000 0.3190 0.0000
Li2 0.0000 0.3774 0.3656
Li3 0.3333 0.6667 0.1338
Nb1 0.0000 0.0000 0.2323
S1 0.0000 0.0000 0.4097
S2 0.0000 0.3219 0.1842
S3 0.3333 0.6667 0.4500
```